# 1
Starting from a DFT-relaxed cell (GGA+U, OQMD), the X-ray powder pattern of Ba3Co4O9 was simulated for Cu Kα (weighted mean of Kα1 and Kα2).
Lines closer than 0.1° are merged.

Most intense lines, 2θ = 10–90°, in order of rising 2θ:
d (Å)  I/Imax  h k l
3.308  26  0 1 5
2.781  100  1 1 0
2.695  79  1 0 7
2.356  10  2 0 2
2.129  14  2 0 5
1.935  48  0 2 7
1.605  19  3 0 0
1.588  32  2 1 7
1.567  14  1 1 12
1.540  10  0 1 14
1.390  18  2 2 0
1.236  14  1 3 7

Structure:
a = 5.5613 Å, b = 5.5613 Å, c = 22.7564 Å
α = 90.00°, β = 90.00°, γ = 120.00°
Space group R-3m (No. 166, hexagonal axes)
Symmetry-distinct sites (fractional):
Ba 0.0000 0.0000 0.0000 x3
Ba 0.0000 0.0000 0.4249 x6
Co 0.0000 0.0000 0.1626 x6
Co 0.0000 0.0000 0.2822 x6
O 0.0000 0.5000 0.0000 x9
O 0.0110 0.5055 0.4454 x18

# 2
Starting from a DFT-relaxed cell (GGA+U, OQMD), the X-ray powder pattern of BaCoO2 was simulated for Cu Kα (weighted mean of Kα1 and Kα2).
Lines closer than 0.1° are merged.

Most intense lines, 2θ = 10–90°, in order of rising 2θ:
d (Å)  I/Imax  h k l
4.063  34  0 1 1
2.944  96  1 1 0
2.806  100  1 0 2
2.384  24  2 0 1
2.031  46  0 2 2
1.853  18  1 2 1
1.700  15  3 0 0
1.672  34  2 1 2
1.596  18  0 1 4
1.403  12  2 0 4
1.304  11  1 3 2
1.267  15  1 2 4

Structure:
a = 5.8886 Å, b = 5.8886 Å, c = 6.7206 Å
α = 90.00°, β = 90.00°, γ = 120.00°
Space group P3_121 (No. 152)
Symmetry-distinct sites (fractional):
Ba 0.0000 0.6538 0.1667 x3
Co 0.0000 0.5866 0.6667 x3
O 0.1237 0.4227 0.8738 x6

# 3
Starting from a DFT-relaxed cell (GGA+U, OQMD), the X-ray powder pattern of Ba3Co2O5 was simulated for Cu Kα (weighted mean of Kα1 and Kα2).
Lines closer than 0.1° are merged.

Most intense lines, 2θ = 10–90°, in order of rising 2θ:
d (Å)  I/Imax  h k l
3.920  14  0 1 1
3.634  17  0 0 6
2.942  70  0 1 5
2.876  89  1 0 5
2.760  100  1 1 0
2.198  28  1 1 6
2.180  21  0 0 10
1.992  24  0 2 0
1.913  21  2 0 0
1.711  30  1 1 10
1.638  33  1 2 5
1.604  24  2 1 5

Structure:
a = 3.826 Å, b = 3.985 Å, c = 21.804 Å
α = 90.00°, β = 90.00°, γ = 90.00°
Space group Immm (No. 71)
Symmetry-distinct sites (fractional):
Ba 0.000 0.000 0.000 x2
Ba 0.000 0.000 0.187 x4
Co 0.000 0.000 0.405 x4
O 0.000 0.000 0.311 x4
O 0.000 0.000 0.500 x2
O 0.000 0.500 0.405 x4

# 4
Starting from a DFT-relaxed cell (GGA+U, OQMD), the X-ray powder pattern of Ba5Co5O14 was simulated for Cu Kα (weighted mean of Kα1 and Kα2).
Lines closer than 0.1° are merged.

Most intense lines, 2θ = 10–90°, in order of rising 2θ:
d (Å)  I/Imax  h k l
3.774  14  2 0 2
3.074  74  1 1 3
2.826  100  3 1 0
2.535  12  1 1 -4
2.262  13  2 2 2
2.081  41  2 2 -3
1.832  13  1 1 -6
1.676  23  4 2 3
1.632  18  6 0 0
1.413  17  6 2 0
1.350  10  4 2 -6
1.284  11  7 1 3

Structure:
a = 9.789 Å, b = 5.653 Å, c = 11.853 Å
α = 90.00°, β = 90.07°, γ = 90.00°
Space group C2/m (No. 12)
Symmetry-distinct sites (fractional):
Ba 0.000 0.000 0.000 x2
Ba 0.166 0.500 0.418 x4
Ba 0.168 0.500 0.773 x4
Co 0.000 0.000 0.500 x2
Co 0.001 0.000 0.707 x4
Co 0.166 0.500 0.139 x4
O 0.075 0.223 0.602 x8
O 0.080 0.244 0.197 x8
O 0.148 0.000 0.399 x4
O 0.163 0.000 0.803 x4
O 0.169 0.500 0.993 x4

# 5
Starting from a DFT-relaxed cell (GGA+U, OQMD), the X-ray powder pattern of Ba4Pr4Co6O23 was simulated for Cu Kα (weighted mean of Kα1 and Kα2).
Lines closer than 0.1° are merged.

Most intense lines, 2θ = 10–90°, in order of rising 2θ:
d (Å)  I/Imax  h k l
3.882  23  2 0 0
3.832  11  0 0 2
2.745  48  2 2 0
2.727  100  2 0 2
2.231  35  2 2 2
1.941  32  4 0 0
1.916  15  0 0 4
1.581  37  4 2 2
1.571  19  2 2 4
1.372  9  4 4 0
1.364  17  4 0 4
1.116  9  4 4 4

Structure:
a = 7.764 Å, b = 7.764 Å, c = 7.664 Å
α = 90.00°, β = 90.00°, γ = 90.00°
Space group P4/mmm (No. 123)
Symmetry-distinct sites (fractional):
Ba 0.238 0.238 0.000 x4
Pr 0.256 0.256 0.500 x4
Co 0.000 0.500 0.253 x4
Co 0.500 0.500 0.243 x2
O 0.000 0.000 0.000 x1
O 0.000 0.269 0.285 x8
O 0.000 0.500 0.000 x2
O 0.000 0.500 0.500 x2
O 0.249 0.500 0.270 x8
O 0.500 0.500 0.000 x1
O 0.500 0.500 0.500 x1

# 6
Starting from a DFT-relaxed cell (GGA+U, OQMD), the X-ray powder pattern of Ba2Pr2Co4O11 was simulated for Cu Kα (weighted mean of Kα1 and Kα2).
Lines closer than 0.1° are merged.

Most intense lines, 2θ = 10–90°, in order of rising 2θ:
d (Å)  I/Imax  h k l
3.926  13  1 0 0
2.776  46  1 0 2
2.748  100  1 2 0
2.251  21  1 2 2
1.967  14  0 0 4
1.959  15  2 0 0
1.923  13  0 4 0
1.599  18  1 2 4
1.596  19  2 2 2
1.581  20  1 4 2
1.388  8  2 0 4
1.219  8  1 6 0

Structure:
a = 3.919 Å, b = 7.692 Å, c = 7.869 Å
α = 90.00°, β = 90.00°, γ = 90.00°
Space group Pmmm (No. 47)
Symmetry-distinct sites (fractional):
Ba 0.000 0.000 0.249 x2
Pr 0.000 0.500 0.231 x2
Co 0.500 0.251 0.000 x2
Co 0.500 0.254 0.500 x2
O 0.000 0.268 0.000 x2
O 0.000 0.310 0.500 x2
O 0.500 0.000 0.000 x1
O 0.500 0.000 0.500 x1
O 0.500 0.291 0.270 x4
O 0.500 0.500 0.000 x1

# 7
Starting from a DFT-relaxed cell (GGA+U, OQMD), the X-ray powder pattern of BaPrCo2O6 was simulated for Cu Kα (weighted mean of Kα1 and Kα2).
Lines closer than 0.1° are merged.

Most intense lines, 2θ = 10–90°, in order of rising 2θ:
d (Å)  I/Imax  h k l
3.843  11  1 0 0
2.737  100  1 0 2
2.717  49  1 1 0
2.229  25  1 1 2
1.949  16  0 0 4
1.922  31  2 0 0
1.584  20  1 1 4
1.573  37  2 1 2
1.368  18  2 0 4
1.359  9  2 2 0
1.231  8  1 0 6
1.115  9  2 2 4

Structure:
a = 3.843 Å, b = 3.843 Å, c = 7.797 Å
α = 90.00°, β = 90.00°, γ = 90.00°
Space group P4/mmm (No. 123)
Symmetry-distinct sites (fractional):
Ba 0.000 0.000 0.000 x1
Pr 0.000 0.000 0.500 x1
Co 0.500 0.500 0.251 x2
O 0.000 0.500 0.273 x4
O 0.500 0.500 0.000 x1
O 0.500 0.500 0.500 x1

# 8
Starting from a DFT-relaxed cell (GGA+U, OQMD), the X-ray powder pattern of Ba4CoRe2O12 was simulated for Cu Kα (weighted mean of Kα1 and Kα2).
Lines closer than 0.1° are merged.

Most intense lines, 2θ = 10–90°, in order of rising 2θ:
d (Å)  I/Imax  h k l
4.865  13  1 0 1
4.019  13  1 0 4
3.084  100  1 0 7
2.853  93  1 1 0
2.094  51  0 2 7
1.833  14  0 1 14
1.688  34  2 1 7
1.647  18  3 0 0
1.543  15  2 0 14
1.427  17  2 2 0
1.357  17  2 0 17
1.295  15  1 3 7

Structure:
a = 5.7066 Å, b = 5.7066 Å, c = 27.6255 Å
α = 90.00°, β = 90.00°, γ = 120.00°
Space group R-3m (No. 166, hexagonal axes)
Symmetry-distinct sites (fractional):
Ba 0.0000 0.0000 0.1311 x6
Ba 0.0000 0.0000 0.2914 x6
Co 0.0000 0.0000 0.0000 x3
Re 0.0000 0.0000 0.4191 x6
O 0.0147 0.5074 0.2902 x18
O 0.0167 0.5084 0.1216 x18

# 9
Starting from a DFT-relaxed cell (GGA+U, OQMD), the X-ray powder pattern of BaCoSeO was simulated for Cu Kα (weighted mean of Kα1 and Kα2).
Lines closer than 0.1° are merged.

Most intense lines, 2θ = 10–90°, in order of rising 2θ:
d (Å)  I/Imax  h k l
3.340  28  0 0 4
3.149  69  2 0 0
3.046  58  0 1 3
2.742  100  1 1 3
2.291  26  2 0 4
2.189  33  2 1 3
2.099  20  1 0 6
2.088  27  0 2 0
1.740  24  2 2 0
1.729  24  3 1 3
1.674  32  1 1 7
1.108  19  1 2 10

Structure:
a = 6.298 Å, b = 4.176 Å, c = 13.360 Å
α = 90.00°, β = 90.00°, γ = 90.00°
Space group Pnma (No. 62)
Symmetry-distinct sites (fractional):
Ba 0.250 0.250 0.131 x4
Co 0.216 0.250 0.833 x4
Se 0.249 0.250 0.434 x4
O 0.069 0.750 0.227 x4

# 10
Starting from a DFT-relaxed cell (GGA+U, OQMD), the X-ray powder pattern of BaCoSeO was simulated for Cu Kα (weighted mean of Kα1 and Kα2).
Lines closer than 0.1° are merged.

Most intense lines, 2θ = 10–90°, in order of rising 2θ:
d (Å)  I/Imax  h k l
4.580  26  0 2 0
3.217  77  2 0 0
3.096  100  0 0 2
3.054  65  0 3 0
2.855  24  2 0 1
2.633  28  2 2 0
2.520  45  1 3 1
2.231  54  2 0 2
2.215  38  2 3 0
2.174  43  0 3 2
2.005  26  2 2 2
1.801  40  2 3 2

Structure:
a = 6.434 Å, b = 9.161 Å, c = 6.191 Å
α = 90.00°, β = 90.00°, γ = 90.00°
Space group Pca2_1 (No. 29)
Symmetry-distinct sites (fractional):
Ba 0.020 0.198 0.000 x4
Co 0.101 0.568 0.959 x4
Se 0.021 0.836 0.998 x4
O 0.124 0.537 0.619 x4

# 11
Starting from a DFT-relaxed cell (GGA+U, OQMD), the X-ray powder pattern of BaCoSeO was simulated for Cu Kα (weighted mean of Kα1 and Kα2).
Lines closer than 0.1° are merged.

Most intense lines, 2θ = 10–90°, in order of rising 2θ:
d (Å)  I/Imax  h k l
3.423  46  0 2 1
3.158  42  0 0 4
3.136  100  1 1 2
2.742  37  1 1 3
2.096  21  2 0 0
2.060  18  0 2 5
2.037  37  1 3 1
1.853  22  1 3 3
1.819  13  1 1 6
1.788  14  2 2 1
1.747  15  2 0 4
1.614  16  1 1 7

Structure:
a = 4.193 Å, b = 7.113 Å, c = 12.632 Å
α = 90.00°, β = 90.00°, γ = 90.00°
Space group Cmc2_1 (No. 36)
Symmetry-distinct sites (fractional):
Ba 0.000 0.090 0.000 x4
Co 0.000 0.260 0.720 x4
Se 0.000 0.405 0.285 x4
O 0.000 0.243 0.572 x4